Simulated XRD peak list
Compound: Pr2SmErSe6
Radiation: Cu Kα (λ = 1.5418 Å)
Structure: DFT lattice parameters and positions (PBE)
Peak positions follow from Bragg's law for the DFT cell and can differ from measured ones.

Peak list (10 most intense, 5 to 70 degrees two-theta, in order of rising 2θ)
(0 1 2), 5.375 Å, I 45; (1 0 4), 3.902 Å, I 65; (1 1 0), 3.707 Å, I 43; (1 1 3), 3.226 Å, I 68; (0 2 4), 2.688 Å, I 49; (1 1 6), 2.455 Å, I 100; (2 1 4), 2.176 Å, I 42; (3 0 0), 2.140 Å, I 69; (1 0 10), 1.881 Å, I 35; (4 -2 6), 1.613 Å, I 25

Atomic structure:
```
data_Pr2SmErSe6
_cell_length_a 7.4137
_cell_length_b 7.4137
_cell_length_c 19.6578
_cell_angle_alpha 90.00
_cell_angle_beta 90.00
_cell_angle_gamma 120.00
_symmetry_space_group_name_H-M 'R 3'
_symmetry_Int_Tables_number 146
_symmetry_space_group_name_Hall 'R 3'
loop_
_atom_site_label
_atom_site_type_symbol
_atom_site_fract_x
_atom_site_fract_y
_atom_site_fract_z
Pr1 Pr 0.0000 0.0000 0.0000
Pr2 Pr 0.0000 0.0000 0.4985
Sm1 Sm 0.0000 0.0000 0.2024
Er1 Er 0.0000 0.0000 0.7003
Se1 Se 0.0416 0.6899 0.7710
Se2 Se 0.0449 0.3631 0.2725
```